# 1
Starting from the PBE geometry in Alexandria, the XRD peak list of BaHg2H was computed for λ = 1.5418 Å (Cu Kα).

Atomic structure:
abc: 5.0226 9.0648 8.9817
angles: 90.00 90.00 90.00
Space group Imma (No. 74)
Unique sites:
Ba: 0.0000 0.2500 0.0284
Hg: 0.0000 0.0109 0.6629
H: 0.0000 0.2500 0.3365

Principal peaks in the range 10 to 90 degrees two-theta, sorted by position:
index, Position (°2θ), d/Å, I/Imax
0 2 0, 19.59, 4.532, 35
0 2 2, 27.97, 3.190, 41
1 2 1, 28.33, 3.151, 100
1 0 3, 34.89, 2.572, 66
2 0 0, 35.75, 2.511, 33
0 4 0, 39.78, 2.266, 23
1 2 3, 40.32, 2.237, 27
2 2 2, 45.99, 1.973, 21
1 4 3, 53.93, 1.700, 36
2 4 0, 54.54, 1.682, 19

# 2
Starting from the PBE geometry in Alexandria, the XRD peak list of BaHg2H was computed for λ = 1.5418 Å (Cu Kα).

Atomic structure:
abc: 5.0076 11.3200 7.0577
angles: 90.00 90.00 90.00
Space group Cmc2_1 (No. 36)
Unique sites:
Ba: 0.0000 0.1934 0.0000
Hg: 0.0000 0.1014 0.4976
Hg: 0.0000 0.4965 0.7590
H: 0.0000 0.3170 0.3332

Principal peaks in the range 10 to 90 degrees two-theta, sorted by position:
index, Position (°2θ), d/Å, I/Imax
0 2 0, 15.66, 5.660, 20
1 3 0, 29.64, 3.014, 53
0 2 2, 29.84, 2.995, 21
1 1 2, 32.02, 2.795, 100
1 3 1, 32.30, 2.771, 37
0 4 1, 34.13, 2.627, 15
2 0 0, 35.87, 2.504, 32
0 4 2, 40.88, 2.208, 19
2 4 2, 55.49, 1.656, 16
3 1 2, 62.05, 1.496, 16

# 3
Starting from the PBE geometry in Alexandria, the XRD peak list of BaMg2HgH was computed for λ = 1.5418 Å (Cu Kα).

Atomic structure:
abc: 4.4444 12.8904 8.3330
angles: 90.00 90.00 90.00
Space group Cmcm (No. 63)
Unique sites:
Ba: 0.0000 0.0456 0.2500
Mg: 0.0000 0.3326 0.0588
Hg: 0.0000 0.2342 0.7500
H: 0.0000 0.5000 0.0000

Principal peaks in the range 10 to 90 degrees two-theta, sorted by position:
index, Position (°2θ), d/Å, I/Imax
0 2 0, 13.74, 6.445, 23
1 1 0, 21.14, 4.202, 21
0 0 2, 21.33, 4.167, 62
1 1 1, 23.72, 3.752, 47
0 4 1, 29.72, 3.006, 30
1 1 2, 30.21, 2.959, 35
1 3 1, 30.87, 2.897, 100
0 4 2, 35.21, 2.549, 30
1 1 3, 38.87, 2.317, 26
1 3 3, 43.83, 2.065, 39

# 4
Starting from the PBE geometry in Alexandria, the XRD peak list of Ba2MgHgH6 was computed for λ = 1.5418 Å (Cu Kα).

Atomic structure:
abc: 7.8301 7.8286 6.7225
angles: 90.00 125.55 90.00
Space group Cm (No. 8)
Unique sites:
Ba: 0.0000 0.2500 0.0000
Mg: 0.4499 0.0000 0.4006
Hg: 0.0273 0.0000 0.5557
H: 0.1438 0.5000 0.7880
H: 0.1564 0.5000 0.3201
H: 0.1635 0.0000 0.3205
H: 0.2738 0.0000 0.0472
H: 0.4098 0.2467 0.3200

Principal peaks in the range 10 to 90 degrees two-theta, sorted by position:
index, Position (°2θ), d/Å, I/Imax
1 1 0, 17.96, 4.940, 38
2 0 0, 28.03, 3.183, 100
1 1 1, 29.33, 3.045, 16
2 2 -1, 32.34, 2.768, 36
0 0 2, 32.74, 2.735, 14
1 3 0, 37.24, 2.415, 13
0 4 0, 46.39, 1.957, 14
2 2 1, 46.69, 1.946, 22
2 4 0, 55.08, 1.667, 31
4 0 0, 57.94, 1.592, 11